[1]
Theoretical PXRD pattern
Compound: Sr2PmScSe4
Radiation: copper Kα
Structure: DFT lattice parameters and positions (PBE)
Neutral-atom scattering factors, no anomalous dispersion.

Crystal structure
a b c (Å): 7.2543 4.1942 7.4358
angles (deg): 90.00 109.02 90.00
Positions (direct):
Sr 0.0000 0.0000 0.0000
Sr 0.5000 0.5000 0.0000
Pm 0.0000 0.5000 0.5000
Sc 0.5000 0.0000 0.5000
Se 0.2558 0.0000 0.7322
Se 0.2696 0.5000 0.2756
Se 0.7304 0.5000 0.7244
Se 0.7442 0.0000 0.2678

Peak list (10 most intense, 2θ = 10–90°, low angle first)
29.89°, d = 2.990 Å, I 100
42.38°, d = 2.133 Å, I 36
43.17°, d = 2.096 Å, I 36
52.04°, d = 1.757 Å, I 6
53.39°, d = 1.716 Å, I 19
62.09°, d = 1.495 Å, I 11
69.85°, d = 1.347 Å, I 15
70.99°, d = 1.328 Å, I 16
78.58°, d = 1.217 Å, I 8
79.16°, d = 1.210 Å, I 6

[2]
Theoretical PXRD pattern
Compound: PmScTe2Se
Radiation: copper Kα
Structure: DFT lattice parameters and positions (PBE)
Neutral-atom scattering factors, no anomalous dispersion.

Crystal structure
a b c (Å): 4.2645 4.2645 15.2955
angles (deg): 90.00 90.00 90.00
Positions (direct):
Pm 0.2500 0.2500 0.1369
Pm 0.7500 0.7500 0.8631
Sc 0.2500 0.2500 0.5871
Sc 0.7500 0.7500 0.4129
Te 0.2500 0.2500 0.3961
Te 0.2500 0.2500 0.7813
Te 0.7500 0.7500 0.2187
Te 0.7500 0.7500 0.6039
Se 0.2500 0.7500 0.0000
Se 0.7500 0.2500 0.0000

Peak list (10 most intense, 2θ = 10–90°, low angle first)
27.26°, d = 3.271 Å, I 100
29.19°, d = 3.059 Å, I 28
29.62°, d = 3.015 Å, I 83
31.90°, d = 2.805 Å, I 28
34.56°, d = 2.595 Å, I 42
36.14°, d = 2.486 Å, I 42
38.00°, d = 2.368 Å, I 46
42.39°, d = 2.132 Å, I 65
51.14°, d = 1.786 Å, I 36
56.89°, d = 1.618 Å, I 22

[3]
Theoretical PXRD pattern
Compound: Pm2TmSc3Se6
Radiation: copper Kα
Structure: DFT lattice parameters and positions (PBE)
Neutral-atom scattering factors, no anomalous dispersion.

Crystal structure
a b c (Å): 8.9723 8.9723 8.0765
angles (deg): 103.31 103.31 25.64
Positions (direct):
Pm 0.1694 0.1694 0.3373
Pm 0.8306 0.8306 0.6627
Tm 0.5000 0.5000 0.0000
Sc 0.1712 0.1712 0.8328
Sc 0.5000 0.5000 0.5000
Sc 0.8288 0.8288 0.1672
Se 0.0060 0.0060 0.7482
Se 0.3332 0.3332 0.9342
Se 0.3409 0.3409 0.4022
Se 0.6591 0.6591 0.5978
Se 0.6668 0.6668 0.0658
Se 0.9940 0.9940 0.2518

Peak list (10 most intense, 2θ = 10–90°, low angle first)
13.43°, d = 6.595 Å, I 14
26.15°, d = 3.408 Å, I 17
31.56°, d = 2.835 Å, I 100
44.89°, d = 2.019 Å, I 12
45.15°, d = 2.008 Å, I 23
45.34°, d = 2.000 Å, I 24
45.57°, d = 1.991 Å, I 12
56.49°, d = 1.629 Å, I 12
65.90°, d = 1.417 Å, I 11
75.05°, d = 1.266 Å, I 10